The following is a calculated XRD peak list of KAuC12I4. It was derived from a cell relaxed with PBE, using Cu Kα.
Kinematic intensities with the Lorentz-polarization factor, no thermal factor.

Most intense lines, 2θ from 10° to 90°, sorted by position:
| d_spacing | 2θ/deg | Rel. int. | hkl |
| --- | --- | --- | --- |
| 7.964 | 11.11 | 85.2 | 0 0 1 |
| 5.024 | 17.65 | 90.8 | -1 1 1 |
| 3.623 | 24.57 | 65.6 | 2 -1 0 |
| 3.584 | 24.84 | 100.0 | 0 2 -1 |
| 3.443 | 25.88 | 66.9 | 2 0 -1 |
| 3.301 | 27.01 | 72.8 | 1 -1 2 |

Atomic structure:
Unit cell a=7.435 b=7.802 c=8.453 alpha=99.65 beta=102.18 gamma=110.98
Space group P1 (No. 1)
One atom of each set of equivalent atoms:
K1 0.000 0.000 0.000 (multiplicity 1)
Au1 0.843 0.602 0.347 (multiplicity 1)
C1 0.286 0.252 0.735 (multiplicity 1)
C2 0.352 0.660 0.337 (multiplicity 1)
C3 0.398 0.718 0.489 (multiplicity 1)
C4 0.437 0.287 0.851 (multiplicity 1)
C5 0.610 0.315 0.971 (multiplicity 1)
C6 0.755 0.409 0.122 (multiplicity 1)
C7 0.758 0.375 0.464 (multiplicity 1)
C8 0.763 0.248 0.025 (multiplicity 1)
C9 0.812 0.538 0.594 (multiplicity 1)
C10 0.906 0.698 0.704 (multiplicity 1)
C11 0.931 0.885 0.357 (multiplicity 1)
C12 0.960 0.053 0.412 (multiplicity 1)
I1 0.024 0.297 0.583 (multiplicity 1)
I2 0.309 0.580 0.092 (multiplicity 1)
I3 0.452 0.170 0.377 (multiplicity 1)
I4 0.497 0.863 0.729 (multiplicity 1)


The following is a calculated XRD peak list of KAuC2N2. It was derived from a cell relaxed with PBE, using Cu Kα.
Kinematic intensities with the Lorentz-polarization factor, no thermal factor.

Most intense lines, 2θ from 10° to 90°, sorted by position:
| d_spacing | 2θ/deg | Rel. int. | hkl |
| --- | --- | --- | --- |
| 6.025 | 14.70 | 52.5 | 1 0 1 |
| 4.433 | 20.03 | 72.0 | 0 0 6 |
| 3.313 | 26.91 | 63.7 | 1 1 3 |
| 3.072 | 29.07 | 100.0 | 0 2 1 |
| 3.012 | 29.65 | 94.4 | 2 0 2 |
| 2.804 | 31.91 | 59.5 | 0 2 4 |

Atomic structure:
Unit cell a=7.1427 b=7.1427 c=26.5970 alpha=90.00 beta=90.00 gamma=120.00
Space group R-3 (No. 148, hexagonal axes)
One atom of each set of equivalent atoms:
K1 0.0000 0.0000 0.0000 (multiplicity 3)
K2 0.0000 0.0000 0.3440 (multiplicity 6)
Au1 0.0000 0.5000 0.5000 (multiplicity 9)
C1 0.0073 0.5985 0.4300 (multiplicity 18)
N1 0.0114 0.6545 0.3882 (multiplicity 18)


The following is a calculated XRD peak list of KNiAu3C6N6. It was derived from a cell relaxed with PBE, using Cu Kα.
Kinematic intensities with the Lorentz-polarization factor, no thermal factor.

Most intense lines, 2θ from 10° to 90°, sorted by position:
| d_spacing | 2θ/deg | Rel. int. | hkl |
| --- | --- | --- | --- |
| 7.764 | 11.40 | 100.0 | 0 0 1 |
| 4.649 | 19.09 | 72.9 | 1 0 1 |
| 3.882 | 22.91 | 38.7 | 0 0 2 |
| 2.902 | 30.81 | 59.8 | 2 0 0 |
| 2.718 | 32.95 | 84.8 | 2 0 1 |
| 2.324 | 38.74 | 72.4 | 2 0 2 |

Atomic structure:
Unit cell a=6.7019 b=6.7019 c=7.7640 alpha=90.00 beta=90.00 gamma=120.00
Space group P312 (No. 149)
One atom of each set of equivalent atoms:
K1 0.0000 0.0000 0.0000 (multiplicity 1)
Ni1 0.3333 0.6667 0.0000 (multiplicity 1)
Au1 0.3424 0.1712 0.5000 (multiplicity 3)
C1 0.3405 0.0107 0.2839 (multiplicity 6)
N1 0.0911 0.4265 0.1598 (multiplicity 6)


The following is a calculated XRD peak list of Lu3AuCN. It was derived from a cell relaxed with PBE, using Cu Kα.
Kinematic intensities with the Lorentz-polarization factor, no thermal factor.

Most intense lines, 2θ from 10° to 90°, sorted by position:
| d_spacing | 2θ/deg | Rel. int. | hkl |
| --- | --- | --- | --- |
| 2.973 | 30.06 | 23.8 | 0 1 1 |
| 2.562 | 35.02 | 100.0 | 0 1 4 |
| 2.446 | 36.74 | 20.6 | 0 0 8 |
| 2.385 | 37.72 | 23.2 | 1 0 5 |
| 1.737 | 52.70 | 29.5 | 1 1 0 |
| 1.416 | 65.97 | 23.1 | 1 1 8 |

Atomic structure:
Unit cell a=3.4735 b=3.4735 c=19.5688 alpha=90.00 beta=90.00 gamma=120.00
Space group P-3m1 (No. 164)
One atom of each set of equivalent atoms:
Lu1 0.0000 0.0000 0.0000 (multiplicity 1)
Lu2 0.0000 0.0000 0.5000 (multiplicity 1)
Lu3 0.3333 0.6667 0.1339 (multiplicity 2)
Lu4 0.3333 0.6667 0.3629 (multiplicity 2)
Au1 0.0000 0.0000 0.2437 (multiplicity 2)
C1 0.3333 0.6667 0.5778 (multiplicity 2)
N1 0.3333 0.6667 0.9288 (multiplicity 2)